(1)
Simulated powder diffractogram
Compound: H12Pd5Rh3
Radiation: a wavelength of 1.5418 Å
Structure: a structure optimized by DFT (PBE)
Peak positions follow from Bragg's law for the DFT cell and can differ from measured ones.

Atomic structure:
```
data_H12Pd5Rh3
_chemical_formula_sum 'H12 Pd5 Rh3'
_cell_length_a 2.9016
_cell_length_b 8.1714
_cell_length_c 8.1732
_cell_angle_alpha 119.87
_cell_angle_beta 90.08
_cell_angle_gamma 90.20
_symmetry_space_group_name_H-M 'P 1'
_symmetry_Int_Tables_number 1
loop_
_symmetry_equiv_pos_as_xyz
'x,y,z'
loop_
_atom_site_label
_atom_site_type_symbol
_atom_site_fract_x
_atom_site_fract_y
_atom_site_fract_z
_atom_site_occupancy
H1 H 0.0000 0.0000 0.0000 1
H2 H 0.0003 0.0586 0.4212 1
H3 H 0.0023 0.4216 0.3621 1
H4 H 0.0175 0.7153 0.0130 1
H5 H 0.0238 0.4095 0.0641 1
H6 H 0.0248 0.3566 0.7069 1
H7 H 0.5102 0.9220 0.2173 1
H8 H 0.5113 0.7333 0.3425 1
H9 H 0.5128 0.0793 0.7539 1
H10 H 0.5127 0.2043 0.0676 1
H11 H 0.5131 0.3536 0.4983 1
H12 H 0.5182 0.6669 0.6885 1
Pd1 Pd 0.4882 0.8430 0.9576 1
Pd2 Pd 0.4910 0.1730 0.5778 1
Pd3 Pd 0.4915 0.4640 0.2476 1
Pd4 Pd 0.5426 0.8267 0.5951 1
Pd5 Pd 0.7082 0.4929 0.9269 1
Rh1 Rh 0.0144 0.8236 0.2691 1
Rh2 Rh 0.0167 0.1528 0.9175 1
Rh3 Rh 0.0187 0.5036 0.5971 1
```

Peak list (6 most intense, 2θ from 10° to 90°, most intense first)
38.1°, I = 100; 38.0°, I = 54; 38.2°, I = 31; 68.9°, I = 21; 55.0°, I = 17; 12.5°, I = 16

***

(2)
Simulated powder diffractogram
Compound: H8Pd2Rh3
Radiation: a wavelength of 1.5418 Å
Structure: a structure optimized by DFT (PBE)
Peak positions follow from Bragg's law for the DFT cell and can differ from measured ones.

Atomic structure:
```
data_H8Pd2Rh3
_chemical_formula_sum 'H16 Pd4 Rh6'
_cell_length_a 5.5679
_cell_length_b 5.5679
_cell_length_c 7.9825
_cell_angle_alpha 90.00
_cell_angle_beta 90.00
_cell_angle_gamma 120.00
_symmetry_space_group_name_H-M 'P 1'
_symmetry_Int_Tables_number 1
loop_
_symmetry_equiv_pos_as_xyz
'x,y,z'
loop_
_atom_site_label
_atom_site_type_symbol
_atom_site_fract_x
_atom_site_fract_y
_atom_site_fract_z
_atom_site_occupancy
H1 H 0.0000 0.0000 0.0000 1
H2 H 0.0000 0.0000 0.5000 1
H3 H 0.0422 0.5211 0.0213 1
H4 H 0.1471 0.2942 0.2694 1
H5 H 0.1471 0.8529 0.2694 1
H6 H 0.2942 0.1471 0.7694 1
H7 H 0.3333 0.6667 0.7805 1
H8 H 0.4789 0.5211 0.0213 1
H9 H 0.4789 0.9578 0.0213 1
H10 H 0.5211 0.0422 0.5213 1
H11 H 0.5211 0.4789 0.5213 1
H12 H 0.6667 0.3333 0.2805 1
H13 H 0.7058 0.8529 0.2694 1
H14 H 0.8529 0.1471 0.7694 1
H15 H 0.8529 0.7058 0.7694 1
H16 H 0.9578 0.4789 0.5213 1
Pd1 Pd 0.3333 0.6667 0.1955 1
Pd2 Pd 0.3333 0.6667 0.5524 1
Pd3 Pd 0.6667 0.3333 0.0524 1
Pd4 Pd 0.6667 0.3333 0.6955 1
Rh1 Rh 0.1644 0.3289 0.8876 1
Rh2 Rh 0.1644 0.8356 0.8876 1
Rh3 Rh 0.3289 0.1644 0.3876 1
Rh4 Rh 0.6711 0.8356 0.8876 1
Rh5 Rh 0.8356 0.1644 0.3876 1
Rh6 Rh 0.8356 0.6711 0.3876 1
```

Peak list (6 most intense, 2θ from 10° to 90°, most intense first)
39.0°, I = 100; 38.6°, I = 60; 39.5°, I = 45; 37.3°, I = 32; 61.7°, I = 32; 70.8°, I = 28

***

(3)
Simulated powder diffractogram
Compound: ScH7Pd2Rh2
Radiation: a wavelength of 1.5418 Å
Structure: a structure optimized by DFT (PBE)
Peak positions follow from Bragg's law for the DFT cell and can differ from measured ones.

Atomic structure:
```
data_ScH7Pd2Rh2
_chemical_formula_sum 'Sc1 H7 Pd2 Rh2'
_cell_length_a 8.0373
_cell_length_b 8.0373
_cell_length_c 8.0373
_cell_angle_alpha 155.23
_cell_angle_beta 38.73
_cell_angle_gamma 150.71
_symmetry_space_group_name_H-M 'P 1'
_symmetry_Int_Tables_number 1
loop_
_symmetry_equiv_pos_as_xyz
'x,y,z'
loop_
_atom_site_label
_atom_site_type_symbol
_atom_site_fract_x
_atom_site_fract_y
_atom_site_fract_z
_atom_site_occupancy
Sc1 Sc 0.0000 0.0000 0.0000 1
H1 H 0.1166 0.5100 0.6066 1
H2 H 0.2395 0.9566 0.2828 1
H3 H 0.3857 0.4691 0.9167 1
H4 H 0.5524 0.4691 0.0833 1
H5 H 0.6738 0.9566 0.7172 1
H6 H 0.6913 0.1913 0.5000 1
H7 H 0.9034 0.5100 0.3934 1
Pd1 Pd 0.1878 0.4627 0.7251 1
Pd2 Pd 0.7376 0.4627 0.2749 1
Rh1 Rh 0.3617 0.9571 0.4046 1
Rh2 Rh 0.5525 0.9571 0.5954 1
```

Peak list (6 most intense, 2θ from 10° to 90°, most intense first)
36.2°, I = 100; 37.0°, I = 73; 41.8°, I = 51; 26.5°, I = 30; 44.6°, I = 29; 31.4°, I = 26